No. 1
BaNpP2O8: calculated X-ray powder pattern (CuKα), based on a DFT-relaxed cell (GGA-PBE, the Materials Project).

Main lines, in order of rising 2θ (10° ≤ 2θ ≤ 90°):
Position (°2θ), I/Imax, index
14.17, 34.4, 2 0 0
20.94, 65.7, 1 1 1
21.15, 37.4, 2 0 -2
26.28, 54.7, 2 0 2
26.99, 100.0, 3 1 -1
32.64, 60.3, 1 1 -3
32.95, 21.1, 0 2 0
42.83, 26.2, 5 1 1
43.35, 24.1, 3 1 3
54.10, 19.9, 1 1 5

```
data_BaNpP2O8
_chemical_formula_sum 'Ba4 Np4 P8 O32'
_space_group_name_H-M_alt 'C 1 2/c 1'
_space_group_IT_number 15
_space_group_name_Hall '-C 2yc'
_cell_length_a 12.8163
_cell_length_b 5.4363
_cell_length_c 9.5374
_cell_angle_alpha 90.00
_cell_angle_beta 102.74
_cell_angle_gamma 90.00
loop_
_atom_site_label
_atom_site_fract_x
_atom_site_fract_y
_atom_site_fract_z
Ba1 0.2500 0.2500 0.0000
Np1 0.0000 0.1818 0.2500
P1 0.0877 0.2640 0.6110
O1 0.0307 0.1850 0.9099
O2 0.1078 0.4798 0.1840
O3 0.1220 0.2816 0.4642
O4 0.1518 0.0563 0.7055
```


No. 2
CaMg6Ti: calculated X-ray powder pattern (CuKα), based on a DFT-relaxed cell (GGA-PBE, the Materials Project).

Main lines, in order of rising 2θ (10° ≤ 2θ ≤ 90°):
Position (°2θ), I/Imax, index
15.68, 9.1, 0 1 1
31.67, 24.4, 0 0 4
34.47, 25.7, 2 0 0
36.18, 100.0, 1 2 2
47.50, 14.8, 2 0 4
56.41, 16.7, 0 4 0
62.86, 17.9, 3 2 2
67.81, 18.4, 2 4 0
68.87, 13.0, 1 0 8
89.46, 6.1, 3 0 8

```
data_CaMg6Ti
_chemical_formula_sum 'Ca2 Mg12 Ti2'
_space_group_name_H-M_alt 'A m m 2'
_space_group_IT_number 38
_space_group_name_Hall 'A 2 -2'
_cell_length_a 5.2041
_cell_length_b 6.5233
_cell_length_c 11.3043
_cell_angle_alpha 90.00
_cell_angle_beta 90.00
_cell_angle_gamma 90.00
loop_
_atom_site_label
_atom_site_fract_x
_atom_site_fract_y
_atom_site_fract_z
Ca1 0.0000 0.0000 0.0000
Mg1 0.0000 0.0000 0.5018
Mg2 0.0000 0.2374 0.7530
Mg3 0.5000 0.0000 0.3319
Mg4 0.5000 0.2450 0.5859
Ti1 0.5000 0.0000 0.8259
```


No. 3
SrLiAlO3: calculated X-ray powder pattern (CuKα), based on a DFT-relaxed cell (GGA-PBE, the Materials Project).

Main lines, in order of rising 2θ (10° ≤ 2θ ≤ 90°):
Position (°2θ), I/Imax, index
18.35, 97.8, 0 0 1
25.00, 71.8, 1 1 0
26.77, 80.5, 1 1 -1
34.21, 56.4, 0 2 0
34.71, 55.1, 2 0 -1
35.10, 100.0, 1 1 1
37.19, 67.5, 0 0 2
38.95, 78.5, 1 1 -2
39.09, 92.7, 0 2 1
49.53, 92.2, 2 2 -1

```
data_SrLiAlO3
_chemical_formula_sum 'Sr2 Li2 Al2 O6'
_space_group_name_H-M_alt 'C 1 m 1'
_space_group_IT_number 8
_space_group_name_Hall 'C -2y'
_cell_length_a 5.2215
_cell_length_b 5.2428
_cell_length_c 5.2025
_cell_angle_alpha 90.00
_cell_angle_beta 111.65
_cell_angle_gamma 90.00
loop_
_atom_site_label
_atom_site_fract_x
_atom_site_fract_y
_atom_site_fract_z
Sr1 0.0000 0.0000 0.0000
Li1 0.2621 0.0000 0.5894
Al1 0.1362 0.5000 0.3470
O1 0.4224 0.2562 0.4253
O2 0.4885 0.0000 0.9760
```


No. 4
BaMg2Pb2: calculated X-ray powder pattern (CuKα), based on a DFT-relaxed cell (GGA-PBE, the Materials Project).

Main lines, in order of rising 2θ (10° ≤ 2θ ≤ 90°):
Position (°2θ), I/Imax, index
21.43, 33.5, 0 0 3
22.74, 38.3, 1 0 2
26.06, 72.8, 1 1 1
27.89, 49.4, 1 0 3
28.92, 100.0, 1 1 2
35.70, 66.5, 2 0 0
38.45, 32.6, 1 1 4
40.45, 30.2, 1 0 5
45.89, 25.5, 2 1 3
60.03, 25.8, 3 1 2

```
data_BaMg2Pb2
_chemical_formula_sum 'Ba2 Mg4 Pb4'
_space_group_name_H-M_alt 'P 4/n m m'
_space_group_IT_number 129
_cell_length_a 5.0303
_cell_length_b 5.0303
_cell_length_c 12.4379
_cell_angle_alpha 90.00
_cell_angle_beta 90.00
_cell_angle_gamma 90.00
loop_
_space_group_symop_operation_xyz
'x,y,z'
'-x,-y,-z'
'-y+1/2,x,z'
'y+1/2,-x,-z'
'-x+1/2,-y+1/2,z'
'x+1/2,y+1/2,-z'
'y,-x+1/2,z'
'-y,x+1/2,-z'
'x+1/2,-y,-z'
'-x+1/2,y,z'
'-y,-x,-z'
'y,x,z'
'-x,y+1/2,-z'
'x,-y+1/2,z'
'y+1/2,x+1/2,-z'
'-y+1/2,-x+1/2,z'
loop_
_atom_site_label
_atom_site_fract_x
_atom_site_fract_y
_atom_site_fract_z
Ba1 0.2500 0.2500 0.2472
Mg1 0.2500 0.2500 0.8643
Mg2 0.2500 0.7500 0.5000
Pb1 0.2500 0.2500 0.6347
Pb2 0.2500 0.7500 0.0000
```


No. 5
Rb3SmF6: calculated X-ray powder pattern (CuKα), based on a DFT-relaxed cell (GGA-PBE, the Materials Project).

Main lines, in order of rising 2θ (10° ≤ 2θ ≤ 90°):
Position (°2θ), I/Imax, index
15.57, 9.8, 1 1 1
18.00, 9.4, 2 0 0
25.57, 100.0, 2 2 0
36.47, 38.6, 4 0 0
45.07, 42.1, 4 2 2
52.53, 24.9, 4 4 0
59.31, 20.5, 6 2 0
71.66, 23.0, 6 4 2
83.18, 11.3, 6 6 0
88.80, 10.2, 8 4 0

```
data_Rb3SmF6
_chemical_formula_sum 'Rb12 Sm4 F24'
_space_group_name_H-M_alt 'F m -3 m'
_space_group_IT_number 225
_space_group_name_Hall '-F 4 2 3'
_cell_length_a 9.8549
_cell_length_b 9.8549
_cell_length_c 9.8549
_cell_angle_alpha 90.00
_cell_angle_beta 90.00
_cell_angle_gamma 90.00
loop_
_atom_site_label
_atom_site_fract_x
_atom_site_fract_y
_atom_site_fract_z
Rb1 0.0000 0.0000 0.0000
Rb2 0.2500 0.2500 0.2500
Sm1 0.0000 0.0000 0.5000
F1 0.0000 0.0000 0.2721
```


No. 6
YMg5: calculated X-ray powder pattern (CuKα), based on a DFT-relaxed cell (GGA-PBE, the Materials Project).

Main lines, in order of rising 2θ (10° ≤ 2θ ≤ 90°):
Position (°2θ), I/Imax, index
12.03, 70.6, 0 0 1
14.60, 44.3, 2 0 0
16.48, 38.3, 2 0 -1
31.75, 52.6, 1 1 1
33.30, 76.0, 4 0 -2
34.67, 50.7, 4 0 1
35.48, 100.0, 3 1 0
36.46, 92.8, 1 1 -2
36.64, 43.4, 0 0 3
56.13, 32.1, 3 1 3

```
data_YMg5
_chemical_formula_sum 'Y2 Mg10'
_space_group_name_H-M_alt 'C 1 m 1'
_space_group_IT_number 8
_space_group_name_Hall 'C -2y'
_cell_length_a 12.5214
_cell_length_b 3.2432
_cell_length_c 7.5956
_cell_angle_alpha 90.00
_cell_angle_beta 104.35
_cell_angle_gamma 90.00
loop_
_atom_site_label
_atom_site_fract_x
_atom_site_fract_y
_atom_site_fract_z
Y1 0.0000 0.0000 0.0000
Mg1 0.1167 0.5000 0.7245
Mg2 0.1716 0.5000 0.3438
Mg3 0.2768 0.0000 0.0615
Mg4 0.3310 0.0000 0.6668
Mg5 0.4460 0.5000 0.3966
```


No. 7
Mo2S4N: calculated X-ray powder pattern (CuKα), based on a DFT-relaxed cell (GGA-PBE, the Materials Project).

Main lines, in order of rising 2θ (10° ≤ 2θ ≤ 90°):
Position (°2θ), I/Imax, index
14.93, 100.0, 1 1 0
21.17, 28.0, 2 0 0
28.41, 19.1, 1 2 1
30.12, 12.8, 2 2 0
33.77, 9.8, 1 3 0
34.72, 13.3, 1 1 2
37.99, 16.5, 2 0 2
43.89, 9.9, 2 2 2
46.61, 30.5, 3 1 2
48.51, 11.8, 2 4 0

```
data_Mo2S4N
_chemical_formula_sum 'Mo4 S8 N2'
_space_group_name_H-M_alt 'I 4/m'
_space_group_IT_number 87
_space_group_name_Hall '-I 4'
_cell_length_a 8.3929
_cell_length_b 8.3929
_cell_length_c 5.7391
_cell_angle_alpha 90.00
_cell_angle_beta 90.00
_cell_angle_gamma 90.00
loop_
_atom_site_label
_atom_site_fract_x
_atom_site_fract_y
_atom_site_fract_z
Mo1 0.0000 0.5000 0.2500
S1 0.1073 0.6821 0.0000
N1 0.0000 0.0000 0.5000
```